Entry 1:
Li3BO3: calculated powder X-ray diffraction pattern (Cu Kα (λ = 1.5418 Å)), based on a structure optimized by DFT (PBE).

Cell and atoms:
Unit cell a=3.3122 b=9.2720 c=8.3889 alpha=90.00 beta=101.28 gamma=90.00
Sites, in units of the cell vectors:
Li 0.0085 0.2323 0.4804
Li 0.0085 0.2677 0.9804
Li 0.2251 0.0225 0.8873
Li 0.2251 0.4775 0.3873
Li 0.4056 0.5745 0.8670
Li 0.4056 0.9255 0.3670
Li 0.5944 0.0745 0.6330
Li 0.5944 0.4255 0.1330
Li 0.7749 0.5225 0.6127
Li 0.7749 0.9775 0.1127
Li 0.9915 0.7323 0.0196
Li 0.9915 0.7677 0.5196
B 0.3022 0.1854 0.2454
B 0.3022 0.3146 0.7454
B 0.6978 0.6854 0.2546
B 0.6978 0.8146 0.7546
O 0.1402 0.1747 0.7215
O 0.1402 0.3253 0.2215
O 0.2705 0.0935 0.1120
O 0.2705 0.4065 0.6120
O 0.4723 0.1369 0.4002
O 0.4723 0.3631 0.9002
O 0.5277 0.6369 0.0998
O 0.5277 0.8631 0.5998
O 0.7295 0.5935 0.3880
O 0.7295 0.9065 0.8880
O 0.8598 0.6747 0.7785
O 0.8598 0.8253 0.2785

The 12 most intense peaks (2θ from 10° to 80°), by angle:
d 4.636, rel. 120, (0 2 0); d 4.113, rel. 140, (0 0 2); d 4.039, rel. 163, (0 2 1); d 3.065, rel. 1000, (1 1 0); d 2.893, rel. 198, (0 3 1); d 2.709, rel. 408, (1 1 -2); d 2.659, rel. 526, (1 2 -1); d 2.360, rel. 374, (0 2 3); d 2.318, rel. 117, (0 4 0); d 1.880, rel. 191, (0 2 4); d 1.795, rel. 145, (1 4 1); d 1.630, rel. 248, (2 1 -1)

---

Entry 2:
Li6B4O9: calculated powder X-ray diffraction pattern (Cu Kα (λ = 1.5418 Å)), based on a structure optimized by DFT (PBE).

Cell and atoms:
Unit cell a=6.7042 b=7.1104 c=8.5661 alpha=93.98 beta=100.79 gamma=98.91
Sites, in units of the cell vectors:
Li 0.0585 0.1971 0.0239
Li 0.0664 0.0545 0.3811
Li 0.1121 0.6808 0.7110
Li 0.2418 0.6609 0.4390
Li 0.3755 0.4661 0.8582
Li 0.3893 0.2944 0.2704
Li 0.6107 0.7056 0.7296
Li 0.6245 0.5339 0.1418
Li 0.7582 0.3391 0.5610
Li 0.8879 0.3192 0.2890
Li 0.9336 0.9455 0.6189
Li 0.9415 0.8029 0.9761
B 0.2322 0.5834 0.0671
B 0.2714 0.9022 0.2117
B 0.2739 0.3719 0.5683
B 0.3482 0.0411 0.6457
B 0.6518 0.9589 0.3543
B 0.7261 0.6281 0.4317
B 0.7286 0.0978 0.7883
B 0.7678 0.4166 0.9329
O 0.1131 0.9917 0.1636
O 0.1576 0.6542 0.9297
O 0.1832 0.3263 0.4117
O 0.1961 0.9114 0.5538
O 0.2505 0.7021 0.2166
O 0.3131 0.4171 0.0742
O 0.3231 0.5557 0.6389
O 0.3280 0.2330 0.6751
O 0.4671 0.0149 0.2801
O 0.5329 0.9851 0.7199
O 0.6720 0.7670 0.3249
O 0.6769 0.4443 0.3611
O 0.6869 0.5829 0.9258
O 0.7495 0.2979 0.7834
O 0.8039 0.0886 0.4462
O 0.8168 0.6737 0.5883
O 0.8424 0.3458 0.0703
O 0.8869 0.0083 0.8364

The 12 most intense peaks (2θ from 10° to 80°), by angle:
d 8.371, rel. 183, (0 0 1); d 5.714, rel. 208, (1 0 -1); d 5.654, rel. 285, (0 1 -1); d 4.257, rel. 432, (1 1 -1); d 3.891, rel. 1000, (1 0 -2); d 3.763, rel. 179, (0 1 -2); d 3.246, rel. 663, (2 0 0); d 2.857, rel. 184, (2 0 -2); d 2.811, rel. 143, (2 1 -1); d 2.769, rel. 431, (2 1 0); d 2.592, rel. 205, (1 -2 2); d 2.329, rel. 166, (0 3 0)